Computed powder diffraction line list of Mg6MnBO8 for Cu Kα, 1.54184 Å, from a crystal structure in Alexandria, relaxed with GGA+U.
Kinematic intensities with the Lorentz-polarization factor, no thermal factor.

Structural model:
abc: 4.270 4.270 8.467
angles: 90.00 90.00 90.00
Fractional positions:
Mg 0.000 0.000 0.000
Mg 0.000 0.000 0.500
Mg 0.000 0.500 0.242
Mg 0.000 0.500 0.758
Mg 0.500 0.000 0.242
Mg 0.500 0.000 0.758
Mn 0.500 0.500 0.500
B 0.500 0.500 0.000
O 0.000 0.000 0.250
O 0.000 0.000 0.750
O 0.000 0.500 0.000
O 0.000 0.500 0.500
O 0.500 0.000 0.000
O 0.500 0.000 0.500
O 0.500 0.500 0.232
O 0.500 0.500 0.768

Principal peaks in the range 15 to 90 degrees two-theta, sorted by position:
2θ (°)	I/Imax	index
23.33	16	1 0 1
31.46	10	1 1 1
31.71	5	0 0 3
36.55	20	1 1 2
38.23	8	1 0 3
42.33	100	2 0 0
42.72	47	0 0 4
53.84	4	2 0 3
61.41	28	2 2 0
61.71	53	2 0 4
73.63	8	3 1 2
77.69	24	2 2 4